Record 1
Tb7Pd3: simulated powder XRD pattern (Cu Ka), based on a cell relaxed with GGA-PBE.
Kinematic intensities with the Lorentz-polarization factor, no thermal factor.

Structure:
a = 9.9449 Å, b = 9.9449 Å, c = 6.2943 Å
α = 90.00°, β = 90.00°, γ = 120.00°
Space group P6_3mc (No. 186)
Unique sites:
Tb 0.0786 0.5393 0.0000
Tb 0.1254 0.2508 0.7008
Tb 0.3333 0.6667 0.5053
Pd 0.1903 0.3806 0.2623

Peak list (10 most intense, 2θ from 10° to 90°, sorted by position)
30.24 deg, rel. 44; 30.93 deg, rel. 100; 34.33 deg, rel. 58; 35.32 deg, rel. 48; 36.13 deg, rel. 39; 48.26 deg, rel. 21; 54.14 deg, rel. 24; 54.86 deg, rel. 23; 55.29 deg, rel. 23; 82.11 deg, rel. 21

=====

Record 2
TbPd6: simulated powder XRD pattern (Cu Ka), based on a cell relaxed with GGA-PBE.
Kinematic intensities with the Lorentz-polarization factor, no thermal factor.

Structure:
a = 6.9665 Å, b = 6.9665 Å, c = 6.9665 Å
α = 90.00°, β = 90.00°, γ = 90.00°
Space group Im-3m (No. 229)
Unique sites:
Tb 0.0000 0.0000 0.0000
Pd 0.0000 0.2500 0.5000

Peak list (10 most intense, 2θ from 10° to 90°, sorted by position)
25.57 deg, rel. 43; 31.46 deg, rel. 100; 45.08 deg, rel. 21; 48.92 deg, rel. 58; 52.55 deg, rel. 27; 59.33 deg, rel. 16; 62.54 deg, rel. 14; 74.62 deg, rel. 16; 77.51 deg, rel. 17; 86.03 deg, rel. 17

=====

Record 3
Tb2Pd5: simulated powder XRD pattern (Cu Ka), based on a cell relaxed with GGA-PBE.
Kinematic intensities with the Lorentz-polarization factor, no thermal factor.

Structure:
a = 7.0514 Å, b = 12.6889 Å, c = 5.8879 Å
α = 90.00°, β = 90.00°, γ = 90.00°
Space group Cccm (No. 66)
Unique sites:
Tb 0.1959 0.1029 0.0000
Pd 0.0000 0.2675 0.2500
Pd 0.0000 0.5000 0.2500
Pd 0.2281 0.1256 0.5000

Peak list (10 most intense, 2θ from 10° to 90°, sorted by position)
28.94 deg, rel. 24; 33.74 deg, rel. 29; 37.67 deg, rel. 23; 38.16 deg, rel. 97; 38.97 deg, rel. 29; 39.89 deg, rel. 100; 41.86 deg, rel. 89; 62.41 deg, rel. 26; 68.77 deg, rel. 21; 76.25 deg, rel. 25

=====

Record 4
Tb2Pd13: simulated powder XRD pattern (Cu Ka), based on a cell relaxed with GGA-PBE.
Kinematic intensities with the Lorentz-polarization factor, no thermal factor.

Structure:
a = 7.3645 Å, b = 7.3645 Å, c = 20.1206 Å
α = 90.00°, β = 90.00°, γ = 120.00°
Space group R-3m (No. 166, hexagonal axes)
Unique sites:
Tb 0.0000 0.0000 0.2419
Pd 0.0000 0.0000 0.0000
Pd 0.0847 0.5424 0.5599
Pd 0.0859 0.5429 0.3030

Peak list (10 most intense, 2θ from 10° to 90°, sorted by position)
13.20 deg, rel. 29; 14.57 deg, rel. 51; 28.34 deg, rel. 32; 37.58 deg, rel. 33; 38.47 deg, rel. 58; 41.54 deg, rel. 100; 42.33 deg, rel. 24; 43.78 deg, rel. 33; 44.72 deg, rel. 43; 71.69 deg, rel. 22